Computed powder diffraction line list of SrCu3As3 for Cu Ka, from a structure optimized by DFT (GGA-PBE).
No peak broadening, texture or thermal motion is included.

Largest 10 diffraction maxima, in order of rising 2θ, 2θ = 10–90°:
d_spacing, I_rel, hkl
4.731, 13, 1 1 0
3.345, 43, 2 0 0
2.732, 100, 2 1 1
1.932, 26, 2 2 2
1.788, 55, 3 2 1
1.673, 28, 4 0 0
1.496, 15, 4 2 0
1.427, 13, 3 3 2
1.222, 15, 5 2 1
1.183, 17, 4 4 0

```
data_SrCu3As3
_symmetry_space_group_name_H-M 'P 1'
_symmetry_Int_Tables_number 1
_cell_length_a 6.691
_cell_length_b 6.691
_cell_length_c 6.691
_cell_angle_alpha 90.00
_cell_angle_beta 90.00
_cell_angle_gamma 90.00
loop_
_symmetry_equiv_pos_as_xyz
'x,y,z'
loop_
_atom_site_label
_atom_site_fract_x
_atom_site_fract_y
_atom_site_fract_z
Sr1 0.000 0.000 0.000
Sr2 0.500 0.500 0.500
Cu1 0.000 0.250 0.500
Cu2 0.000 0.750 0.500
Cu3 0.250 0.500 0.000
Cu4 0.500 0.000 0.250
Cu5 0.500 0.000 0.750
Cu6 0.750 0.500 0.000
As1 0.000 0.500 0.250
As2 0.000 0.500 0.750
As3 0.250 0.000 0.500
As4 0.500 0.250 0.000
As5 0.500 0.750 0.000
As6 0.750 0.000 0.500
```